1.
Diffraction record for SrDy5Hg6. The X-ray powder pattern is computed, not measured: it uses the PBE geometry in Alexandria and Cu Kα.
Lines closer than 0.1° are merged.

a = 5.311 Å, b = 7.523 Å, c = 8.417 Å
α = 90.00°, β = 108.27°, γ = 90.00°
Space group P2/m (No. 10)
Asymmetric unit:
Sr1 0.000 0.000 0.000 [1 per cell]
Dy1 0.000 0.500 0.000 [1 per cell]
Dy2 0.333 0.000 0.665 [2 per cell]
Dy3 0.337 0.500 0.673 [2 per cell]
Hg1 0.171 0.259 0.344 [4 per cell]
Hg2 0.500 0.264 0.000 [2 per cell]

Most intense lines, 2θ = 10–80°, by angle:
| 2θ/deg | intensity | h k l |
| --- | --- | --- |
| 11.76 | 1 | 0 1 0 |
| 23.65 | 3 | 1 0 1 |
| 33.68 | 100 | 1 2 1 |
| 33.75 | 20 | 2 0 -1 |
| 48.37 | 14 | 2 0 2 |
| 48.45 | 7 | 2 0 -4 |
| 60.20 | 22 | 1 2 4 |
| 60.33 | 23 | 3 2 0 |
| 70.78 | 7 | 2 4 2 |
| 70.93 | 7 | 4 0 -2 |

***

2.
Diffraction record for DyThSc. The X-ray powder pattern is computed, not measured: it uses the PBE geometry in Alexandria and Cu Kα.
Lines closer than 0.1° are merged.

a = 5.529 Å, b = 9.575 Å, c = 6.702 Å
α = 90.00°, β = 90.00°, γ = 90.00°
Space group Pbam (No. 55)
Asymmetric unit:
Dy1 0.007 0.167 0.000 [4 per cell]
Th1 0.001 0.833 0.500 [4 per cell]
Sc1 0.000 0.500 0.256 [4 per cell]

Most intense lines, 2θ = 10–80°, by angle:
| 2θ/deg | intensity | h k l |
| --- | --- | --- |
| 18.53 | 44 | 1 1 0 |
| 26.60 | 34 | 0 0 2 |
| 32.39 | 100 | 1 3 0 |
| 32.62 | 60 | 1 1 2 |
| 42.39 | 61 | 1 3 2 |
| 46.63 | 22 | 0 4 2 |
| 57.77 | 19 | 0 6 0 |
| 57.91 | 23 | 1 5 2 |
| 64.69 | 18 | 0 6 2 |
| 65.10 | 27 | 1 3 4 |

***

3.
Diffraction record for KLaSb2. The X-ray powder pattern is computed, not measured: it uses the PBE geometry in Alexandria and Cu Kα.
Lines closer than 0.1° are merged.

a = 7.672 Å, b = 9.216 Å, c = 3.541 Å
α = 90.00°, β = 90.67°, γ = 90.00°
Space group C2/m (No. 12)
Asymmetric unit:
K1 0.000 0.000 0.000 [2 per cell]
La1 0.000 0.500 0.000 [2 per cell]
Sb1 0.250 0.250 0.500 [4 per cell]

Most intense lines, 2θ = 10–80°, by angle:
| 2θ/deg | intensity | h k l |
| --- | --- | --- |
| 15.03 | 27 | 1 1 0 |
| 30.32 | 100 | 2 2 0 |
| 31.88 | 87 | 0 2 1 |
| 34.27 | 36 | 2 0 -1 |
| 34.68 | 35 | 2 0 1 |
| 39.10 | 25 | 0 4 0 |
| 52.95 | 20 | 2 4 -1 |
| 53.24 | 20 | 2 4 1 |
| 57.99 | 15 | 4 2 -1 |
| 58.53 | 15 | 4 2 1 |

***

4.
Diffraction record for LiMn2I5. The X-ray powder pattern is computed, not measured: it uses the PBE geometry in Alexandria and Cu Kα.
Lines closer than 0.1° are merged.

a = 13.909 Å, b = 7.855 Å, c = 7.138 Å
α = 90.00°, β = 119.37°, γ = 90.00°
Space group Cm (No. 8)
Asymmetric unit:
Li1 0.000 0.000 0.000 [2 per cell]
Mn1 0.031 0.000 0.568 [2 per cell]
Mn2 0.433 0.000 0.977 [2 per cell]
I1 0.058 0.252 0.310 [4 per cell]
I2 0.228 0.000 0.952 [2 per cell]
I3 0.408 0.253 0.669 [4 per cell]

Most intense lines, 2θ = 10–80°, by angle:
| 2θ/deg | intensity | h k l |
| --- | --- | --- |
| 13.43 | 35 | 1 1 0 |
| 14.61 | 51 | 2 0 0 |
| 16.79 | 35 | 1 1 -1 |
| 25.01 | 100 | 2 0 1 |
| 25.62 | 57 | 4 0 -1 |
| 26.85 | 34 | 0 2 1 |
| 27.04 | 64 | 2 2 -1 |
| 33.97 | 60 | 2 2 -2 |
| 36.86 | 31 | 0 2 2 |
| 37.43 | 37 | 4 2 -2 |

***

5.
Diffraction record for Na2Si6Pd21. The X-ray powder pattern is computed, not measured: it uses the PBE geometry in Alexandria and Cu Kα.
Lines closer than 0.1° are merged.

a = 12.206 Å, b = 12.206 Å, c = 12.206 Å
α = 90.00°, β = 90.00°, γ = 90.00°
Space group Fm-3m (No. 225)
Asymmetric unit:
Na1 0.250 0.250 0.250 [8 per cell]
Si1 0.000 0.000 0.230 [24 per cell]
Pd1 0.000 0.000 0.500 [4 per cell]
Pd2 0.000 0.170 0.330 [48 per cell]
Pd3 0.117 0.117 0.117 [32 per cell]

Most intense lines, 2θ = 10–80°, by angle:
| 2θ/deg | intensity | h k l |
| --- | --- | --- |
| 20.58 | 9 | 2 2 0 |
| 36.05 | 13 | 4 2 2 |
| 38.32 | 100 | 3 3 3 |
| 41.87 | 18 | 4 4 0 |
| 43.88 | 29 | 5 3 1 |
| 44.54 | 23 | 6 0 0 |
| 64.82 | 18 | 6 6 0 |
| 66.32 | 14 | 5 5 5 |
| 76.47 | 15 | 8 4 4 |
| 77.87 | 10 | 9 3 3 |

***

6.
Diffraction record for Sr2AcO4. The X-ray powder pattern is computed, not measured: it uses the PBE geometry in Alexandria and Cu Kα.
Lines closer than 0.1° are merged.

a = 6.334 Å, b = 10.535 Å, c = 3.842 Å
α = 90.00°, β = 90.00°, γ = 90.00°
Space group Pbam (No. 55)
Asymmetric unit:
Sr1 0.058 0.175 0.000 [4 per cell]
Ac1 0.000 0.500 0.500 [2 per cell]
O1 0.158 0.709 0.500 [4 per cell]
O2 0.245 0.462 0.000 [4 per cell]

Most intense lines, 2θ = 10–80°, by angle:
| 2θ/deg | intensity | h k l |
| --- | --- | --- |
| 16.33 | 46 | 1 1 0 |
| 28.18 | 26 | 2 0 0 |
| 28.46 | 100 | 1 1 1 |
| 28.76 | 38 | 0 2 1 |
| 29.07 | 73 | 1 3 0 |
| 40.70 | 49 | 2 2 1 |
| 50.42 | 17 | 3 3 0 |
| 50.98 | 17 | 2 4 1 |
| 51.53 | 27 | 1 5 1 |
| 56.50 | 23 | 1 3 2 |